This entry pairs a crystal structure of CeMoF6 with its computed powder diffractogram. Radiation: Cu Kα X-rays. Structure: a DFT-relaxed cell (PBE+U, Alexandria).
No peak broadening, texture or thermal motion is included.

```
CeMoF6
1.0
2.235 -5.056 0.000
2.235 5.056 0.000
-0.940 0.000 5.557
Ce Mo F
1 1 6
direct
0.000 0.000 0.000 Ce
0.324 0.676 0.500 Mo
0.098 0.756 0.733 F
0.244 0.902 0.267 F
0.417 0.472 0.762 F
0.528 0.583 0.238 F
0.753 0.095 0.722 F
0.905 0.247 0.278 F
```

Main lines, low angle first (15° ≤ 2θ ≤ 90°):
2θ (°)  I (rel.)
17.54  29
22.00  43
23.79  100
25.19  68
29.25  45
39.15  22
40.95  23
44.55  43
45.36  15
49.61  30